(1)
Diffraction record for ScOsAu2. The powder diffraction line list is calculated, not measured: it uses DFT lattice parameters and positions (GGA-PBE) and Cu Kα.

Crystal structure
Lattice parameters (Å, degrees): 9.483 3.166 4.813 90.00 104.80 90.00
Space group Cm (No. 8)
Inequivalent atoms, fractional coordinates:
Sc: 0.000 0.000 0.000
Os: 0.233 0.500 0.233
Au: 0.242 0.000 0.734
Au: 0.484 0.000 0.481

Main lines, in order of rising 2θ (2θ from 10° to 90°):
Position (°2θ)  I/Imax  (hkl)
19.1  14.6  0 0 1
37.0  100.0  1 1 1
38.7  46.9  2 0 -2
39.3  42.0  4 0 0
42.1  70.0  3 1 -1
48.2  24.9  2 0 2
65.4  19.1  1 1 -3
66.3  17.9  5 1 1
72.2  15.3  2 2 -2
72.6  14.0  4 2 0


(2)
Diffraction record for Sc5Ni6. The powder diffraction line list is calculated, not measured: it uses DFT lattice parameters and positions (GGA-PBE) and Cu Kα.

Crystal structure
Lattice parameters (Å, degrees): 12.097 6.530 4.511 90.00 94.61 90.00
Space group C2/m (No. 12)
Inequivalent atoms, fractional coordinates:
Sc: 0.000 0.000 0.000
Sc: 0.110 0.500 0.774
Sc: 0.196 0.000 0.653
Ni: 0.000 0.206 0.500
Ni: 0.170 0.217 0.177

Main lines, in order of rising 2θ (2θ from 10° to 90°):
Position (°2θ)  I/Imax  (hkl)
15.4  13.5  1 1 0
34.5  22.1  4 0 -1
37.8  100.0  2 2 1
39.8  21.5  5 1 0
41.7  25.7  2 0 -2
42.6  13.8  1 1 -2
44.5  32.2  4 2 -1
45.1  16.7  6 0 0
51.1  17.8  3 3 -1
52.7  21.6  4 0 2


(3)
Diffraction record for AlCoSnRh. The powder diffraction line list is calculated, not measured: it uses DFT lattice parameters and positions (GGA-PBE) and Cu Kα.

Crystal structure
Lattice parameters (Å, degrees): 6.169 6.169 6.169 90.00 90.00 90.00
Space group F-43m (No. 216)
Inequivalent atoms, fractional coordinates:
Al: 0.000 0.000 0.000
Co: 0.250 0.250 0.250
Sn: 0.000 0.000 0.500
Rh: 0.250 0.250 0.750

Main lines, in order of rising 2θ (2θ from 10° to 90°):
Position (°2θ)  I/Imax  (hkl)
25.0  26.7  1 1 1
28.9  0.6  2 0 0
41.4  100.0  2 2 0
49.0  13.9  3 1 1
60.0  16.5  4 0 0
66.0  5.9  3 3 1
75.5  33.6  4 2 2
81.0  4.8  5 1 1
90.0  11.2  4 4 0


(4)
Diffraction record for Mn2TlGeAu. The powder diffraction line list is calculated, not measured: it uses DFT lattice parameters and positions (GGA-PBE) and Cu Kα.

Crystal structure
Lattice parameters (Å, degrees): 5.064 5.064 5.244 90.00 90.00 90.00
Space group P4/mmm (No. 123)
Inequivalent atoms, fractional coordinates:
Mn: 0.000 0.500 0.000
Tl: 0.000 0.000 0.000
Ge: 0.000 0.000 0.500
Au: 0.500 0.500 0.500

Main lines, in order of rising 2θ (2θ from 10° to 90°):
Position (°2θ)  I/Imax  (hkl)
24.4  100.0  1 0 1
24.9  59.7  1 1 0
30.2  20.5  1 1 1
34.2  35.8  0 0 2
35.5  64.9  2 0 0
42.7  29.9  1 1 2
43.5  45.0  2 1 1
50.1  48.4  2 0 2
51.0  22.9  2 2 0
62.9  24.3  2 2 2